(1)
Starting from a crystal structure in Alexandria, relaxed with PBE, the powder diffractogram of Hg3Pd2Pb3 was computed for Cu Kα (λ = 1.5418 Å).
No peak broadening, texture or thermal motion is included.

Peak list (6 most intense, 10° ≤ 2θ ≤ 90°, sorted by position)
2θ/deg, I/Imax, hkl
31.37, 100, 1 1 4
34.10, 26, 1 3 0
37.17, 33, 1 3 3
38.54, 23, 0 4 4
39.41, 25, 1 3 4
47.32, 25, 2 0 0

Structure:
```
data_Hg3Pd2Pb3
_space_group_name_H-M_alt 'C m c m'
_space_group_IT_number 63
_space_group_name_Hall '-C 2c 2'
_cell_length_a 3.841
_cell_length_b 10.820
_cell_length_c 18.524
_cell_angle_alpha 90.00
_cell_angle_beta 90.00
_cell_angle_gamma 90.00
loop_
_atom_site_label
_atom_site_type_symbol
_atom_site_fract_x
_atom_site_fract_y
_atom_site_fract_z
Hg1 Hg 0.000 0.119 0.250
Hg2 Hg 0.000 0.141 0.524
Pd1 Pd 0.000 0.280 0.128
Pb1 Pb 0.000 0.154 0.750
Pb2 Pb 0.000 0.435 0.615
```

=====

(2)
Starting from a crystal structure in Alexandria, relaxed with PBE, the powder diffractogram of HgPd14Pb was computed for Cu Kα (λ = 1.5418 Å).
No peak broadening, texture or thermal motion is included.

Peak list (6 most intense, 10° ≤ 2θ ≤ 90°, sorted by position)
2θ/deg, I/Imax, hkl
38.87, 100, 2 0 2
44.68, 34, 2 2 0
46.19, 16, 0 0 4
66.21, 20, 2 2 4
78.42, 25, 4 2 2
80.61, 11, 2 0 6

Structure:
```
data_HgPd14Pb
_space_group_name_H-M_alt 'P 4/m m m'
_space_group_IT_number 123
_space_group_name_Hall '-P 4 2'
_cell_length_a 5.737
_cell_length_b 5.737
_cell_length_c 7.862
_cell_angle_alpha 90.00
_cell_angle_beta 90.00
_cell_angle_gamma 90.00
loop_
_atom_site_label
_atom_site_type_symbol
_atom_site_fract_x
_atom_site_fract_y
_atom_site_fract_z
Hg1 Hg 0.000 0.000 0.000
Pd1 Pd 0.000 0.000 0.500
Pd2 Pd 0.000 0.500 0.000
Pd3 Pd 0.000 0.500 0.500
Pd4 Pd 0.250 0.250 0.257
Pd5 Pd 0.500 0.500 0.500
Pb1 Pb 0.500 0.500 0.000
```

=====

(3)
Starting from a crystal structure in Alexandria, relaxed with PBE, the powder diffractogram of HgPd5Pb was computed for Cu Kα (λ = 1.5418 Å).
No peak broadening, texture or thermal motion is included.

Peak list (6 most intense, 10° ≤ 2θ ≤ 90°, sorted by position)
2θ/deg, I/Imax, hkl
24.63, 62, 1 1 2
38.60, 100, 2 2 0
38.83, 100, 2 0 4
44.64, 66, 0 2 4
45.74, 31, 4 0 0
65.83, 41, 4 2 4

Structure:
```
data_HgPd5Pb
_space_group_name_H-M_alt 'C m c m'
_space_group_IT_number 63
_space_group_name_Hall '-C 2c 2'
_cell_length_a 7.934
_cell_length_b 5.767
_cell_length_c 11.435
_cell_angle_alpha 90.00
_cell_angle_beta 90.00
_cell_angle_gamma 90.00
loop_
_atom_site_label
_atom_site_type_symbol
_atom_site_fract_x
_atom_site_fract_y
_atom_site_fract_z
Hg1 Hg 0.000 0.000 0.000
Pd1 Pd 0.000 0.007 0.250
Pd2 Pd 0.246 0.261 0.123
Pb1 Pb 0.000 0.486 0.750
```

=====

(4)
Starting from a crystal structure in Alexandria, relaxed with PBE, the powder diffractogram of Hg2PdPb4 was computed for Cu Kα (λ = 1.5418 Å).
No peak broadening, texture or thermal motion is included.

Peak list (6 most intense, 10° ≤ 2θ ≤ 90°, sorted by position)
2θ/deg, I/Imax, hkl
29.50, 49, 2 0 0
30.13, 73, 1 0 -3
31.98, 100, 1 1 1
33.08, 41, 2 0 1
39.27, 41, 0 1 3
41.14, 55, 2 1 -2

Structure:
```
data_Hg2PdPb4
_space_group_name_H-M_alt 'P 1 2/m 1'
_space_group_IT_number 10
_space_group_name_Hall '-P 2y'
_cell_length_a 6.197
_cell_length_b 3.520
_cell_length_c 9.279
_cell_angle_alpha 90.00
_cell_angle_beta 102.12
_cell_angle_gamma 90.00
loop_
_atom_site_label
_atom_site_type_symbol
_atom_site_fract_x
_atom_site_fract_y
_atom_site_fract_z
Hg1 Hg 0.249 0.000 0.457
Pd1 Pd 0.000 0.500 0.000
Pb1 Pb 0.180 0.500 0.750
Pb2 Pb 0.336 0.000 0.136
```

=====

(5)
Starting from a crystal structure in Alexandria, relaxed with PBE, the powder diffractogram of Hg2Pd3Pb was computed for Cu Kα (λ = 1.5418 Å).
No peak broadening, texture or thermal motion is included.

Peak list (6 most intense, 10° ≤ 2θ ≤ 90°, sorted by position)
2θ/deg, I/Imax, hkl
26.59, 11, 1 0 0
37.80, 100, 1 0 3
37.96, 50, 1 1 0
54.77, 18, 2 0 0
68.15, 17, 1 1 6
68.47, 35, 2 1 3

Structure:
```
data_Hg2Pd3Pb
_space_group_name_H-M_alt 'P 4/m m m'
_space_group_IT_number 123
_space_group_name_Hall '-P 4 2'
_cell_length_a 3.352
_cell_length_b 3.352
_cell_length_c 10.140
_cell_angle_alpha 90.00
_cell_angle_beta 90.00
_cell_angle_gamma 90.00
loop_
_atom_site_label
_atom_site_type_symbol
_atom_site_fract_x
_atom_site_fract_y
_atom_site_fract_z
Hg1 Hg 0.000 0.000 0.160
Pd1 Pd 0.500 0.500 0.000
Pd2 Pd 0.500 0.500 0.320
Pb1 Pb 0.000 0.000 0.500
```

=====

(6)
Starting from a crystal structure in Alexandria, relaxed with PBE, the powder diffractogram of Pm2Hg7Pb3 was computed for Cu Kα (λ = 1.5418 Å).
No peak broadening, texture or thermal motion is included.

Peak list (6 most intense, 10° ≤ 2θ ≤ 90°, sorted by position)
2θ/deg, I/Imax, hkl
29.87, 72, 1 1 1
31.86, 100, 1 1 2
33.37, 100, 0 0 6
33.82, 67, 2 0 -3
35.02, 81, 1 1 -4
38.57, 78, 2 0 3

Structure:
```
data_Pm2Hg7Pb3
_space_group_name_H-M_alt 'P 1 2/m 1'
_space_group_IT_number 10
_space_group_name_Hall '-P 2y'
_cell_length_a 5.651
_cell_length_b 3.716
_cell_length_c 16.313
_cell_angle_alpha 90.00
_cell_angle_beta 98.89
_cell_angle_gamma 90.00
loop_
_atom_site_label
_atom_site_type_symbol
_atom_site_fract_x
_atom_site_fract_y
_atom_site_fract_z
Pm1 Pm 0.082 0.000 0.184
Hg1 Hg 0.000 0.500 0.500
Hg2 Hg 0.227 0.500 0.342
Hg3 Hg 0.248 0.000 0.998
Hg4 Hg 0.284 0.000 0.675
Pb1 Pb 0.433 0.500 0.848
Pb2 Pb 0.500 0.000 0.500
```

=====

(7)
Starting from a crystal structure in Alexandria, relaxed with PBE, the powder diffractogram of Pm3Hg4Pb was computed for Cu Kα (λ = 1.5418 Å).
No peak broadening, texture or thermal motion is included.

Peak list (6 most intense, 10° ≤ 2θ ≤ 90°, sorted by position)
2θ/deg, I/Imax, hkl
32.97, 97, 0 1 8
33.71, 100, 1 1 0
47.87, 35, 2 0 8
59.82, 36, 1 2 8
60.29, 19, 3 0 0
80.42, 16, 3 1 8

Structure:
```
data_Pm3Hg4Pb
_space_group_name_H-M_alt 'R -3 m'
_space_group_IT_number 166
_space_group_name_Hall '-R 3 2"'
_cell_length_a 5.3177
_cell_length_b 5.3177
_cell_length_c 26.9188
_cell_angle_alpha 90.00
_cell_angle_beta 90.00
_cell_angle_gamma 120.00
loop_
_atom_site_label
_atom_site_type_symbol
_atom_site_fract_x
_atom_site_fract_y
_atom_site_fract_z
Pm1 Pm 0.0000 0.0000 0.0000
Pm2 Pm 0.0000 0.0000 0.2421
Hg1 Hg 0.0000 0.0000 0.1191
Hg2 Hg 0.0000 0.0000 0.3687
Pb1 Pb 0.0000 0.0000 0.5000
```

=====

(8)
Starting from a crystal structure in Alexandria, relaxed with PBE, the powder diffractogram of Pm2HgPb2 was computed for Cu Kα (λ = 1.5418 Å).
No peak broadening, texture or thermal motion is included.

Peak list (6 most intense, 10° ≤ 2θ ≤ 90°, sorted by position)
2θ/deg, I/Imax, hkl
31.25, 67, 2 1 -2
31.36, 84, 0 2 2
31.60, 70, 2 1 2
37.80, 100, 2 3 0
37.97, 41, 4 0 0
45.99, 37, 0 0 4

Structure:
```
data_Pm2HgPb2
_space_group_name_H-M_alt 'P 1 21/c 1'
_space_group_IT_number 14
_space_group_name_Hall '-P 2ybc'
_cell_length_a 9.479
_cell_length_b 8.257
_cell_length_c 7.892
_cell_angle_alpha 90.00
_cell_angle_beta 90.72
_cell_angle_gamma 90.00
loop_
_atom_site_label
_atom_site_type_symbol
_atom_site_fract_x
_atom_site_fract_y
_atom_site_fract_z
Pm1 Pm 0.110 0.244 0.001
Pm2 Pm 0.366 0.738 0.502
Hg1 Hg 0.382 0.085 0.715
Pb1 Pb 0.116 0.588 0.250
Pb2 Pb 0.333 0.063 0.261
```

=====

(9)
Starting from a crystal structure in Alexandria, relaxed with PBE, the powder diffractogram of Pm3Hg2Pb3 was computed for Cu Kα (λ = 1.5418 Å).
No peak broadening, texture or thermal motion is included.

Peak list (6 most intense, 10° ≤ 2θ ≤ 90°, sorted by position)
2θ/deg, I/Imax, hkl
31.93, 100, -1 1 2
32.10, 99, 1 1 -3
35.10, 35, 0 0 4
37.91, 35, 0 2 -1
38.33, 32, 2 0 -1
55.01, 23, 2 2 -2

Structure:
```
data_Pm3Hg2Pb3
_space_group_name_H-M_alt 'P -1'
_space_group_IT_number 2
_space_group_name_Hall '-P 1'
_cell_length_a 4.697
_cell_length_b 4.747
_cell_length_c 10.737
_cell_angle_alpha 102.31
_cell_angle_beta 102.59
_cell_angle_gamma 90.02
loop_
_atom_site_label
_atom_site_type_symbol
_atom_site_fract_x
_atom_site_fract_y
_atom_site_fract_z
Pm1 Pm 0.000 0.000 0.000
Pm2 Pm 0.357 0.858 0.715
Hg1 Hg 0.254 0.255 0.507
Pb1 Pb 0.124 0.624 0.248
Pb2 Pb 0.500 0.500 0.000
```

=====

(10)
Starting from a crystal structure in Alexandria, relaxed with PBE, the powder diffractogram of Pm3Hg3Pb4 was computed for Cu Kα (λ = 1.5418 Å).
No peak broadening, texture or thermal motion is included.

Peak list (6 most intense, 10° ≤ 2θ ≤ 90°, sorted by position)
2θ/deg, I/Imax, hkl
31.98, 100, 3 2 1
38.45, 28, 4 2 0
42.29, 12, 4 2 2
44.10, 12, 5 1 0
47.57, 21, 5 2 1
59.92, 14, 6 3 1

Structure:
```
data_Pm3Hg3Pb4
_space_group_name_H-M_alt 'I -4 3 d'
_space_group_IT_number 220
_space_group_name_Hall 'I -4bd 2c 3'
_cell_length_a 10.470
_cell_length_b 10.470
_cell_length_c 10.470
_cell_angle_alpha 90.00
_cell_angle_beta 90.00
_cell_angle_gamma 90.00
loop_
_atom_site_label
_atom_site_type_symbol
_atom_site_fract_x
_atom_site_fract_y
_atom_site_fract_z
Pm1 Pm 0.000 0.250 0.875
Hg1 Hg 0.000 0.250 0.375
Pb1 Pb 0.100 0.400 0.600
```

=====

(11)
Starting from a crystal structure in Alexandria, relaxed with PBE, the powder diffractogram of Pm3Hg3Pb was computed for Cu Kα (λ = 1.5418 Å).
No peak broadening, texture or thermal motion is included.

Peak list (6 most intense, 10° ≤ 2θ ≤ 90°, sorted by position)
2θ/deg, I/Imax, hkl
33.66, 100, 2 2 2
34.36, 22, 4 0 0
34.53, 23, 0 4 0
49.51, 15, 4 4 0
61.10, 16, 6 2 2
61.31, 16, 2 6 2

Structure:
```
data_Pm3Hg3Pb
_space_group_name_H-M_alt 'C 1 2/m 1'
_space_group_IT_number 12
_space_group_name_Hall '-C 2y'
_cell_length_a 10.440
_cell_length_b 10.391
_cell_length_c 7.709
_cell_angle_alpha 90.00
_cell_angle_beta 90.01
_cell_angle_gamma 90.00
loop_
_atom_site_label
_atom_site_type_symbol
_atom_site_fract_x
_atom_site_fract_y
_atom_site_fract_z
Pm1 Pm 0.000 0.000 0.243
Pm2 Pm 0.250 0.249 0.246
Hg1 Hg 0.000 0.264 0.500
Hg2 Hg 0.000 0.270 0.000
Hg3 Hg 0.218 0.500 0.002
Pb1 Pb 0.228 0.500 0.499
```

=====

(12)
Starting from a crystal structure in Alexandria, relaxed with PBE, the powder diffractogram of Pm4Hg3Pb2 was computed for Cu Kα (λ = 1.5418 Å).
No peak broadening, texture or thermal motion is included.

Peak list (6 most intense, 10° ≤ 2θ ≤ 90°, sorted by position)
2θ/deg, I/Imax, hkl
30.86, 100, 1 1 3
34.97, 79, 3 1 0
47.33, 31, 4 0 3
52.11, 19, 2 0 6
60.19, 32, 4 2 3
62.73, 15, 6 0 0

Structure:
```
data_Pm4Hg3Pb2
_space_group_name_H-M_alt 'C 1 2/m 1'
_space_group_IT_number 12
_space_group_name_Hall '-C 2y'
_cell_length_a 8.884
_cell_length_b 5.133
_cell_length_c 11.462
_cell_angle_alpha 90.00
_cell_angle_beta 90.06
_cell_angle_gamma 90.00
loop_
_atom_site_label
_atom_site_type_symbol
_atom_site_fract_x
_atom_site_fract_y
_atom_site_fract_z
Pm1 Pm 0.000 0.000 0.156
Pm2 Pm 0.167 0.500 0.610
Hg1 Hg 0.000 0.000 0.500
Hg2 Hg 0.167 0.500 0.978
Pb1 Pb 0.167 0.500 0.286
```

=====

(13)
Starting from a crystal structure in Alexandria, relaxed with PBE, the powder diffractogram of PmHg3Pb was computed for Cu Kα (λ = 1.5418 Å).
No peak broadening, texture or thermal motion is included.

Peak list (6 most intense, 10° ≤ 2θ ≤ 90°, sorted by position)
2θ/deg, I/Imax, hkl
28.95, 69, 1 0 3
29.78, 40, 1 2 1
33.66, 100, 1 2 2
34.52, 72, 3 0 1
35.59, 99, 2 2 1
64.06, 50, 3 2 5

Structure:
```
data_PmHg3Pb
_space_group_name_H-M_alt 'P n m a'
_space_group_IT_number 62
_space_group_name_Hall '-P 2ac 2n'
_cell_length_a 8.072
_cell_length_b 6.827
_cell_length_c 10.013
_cell_angle_alpha 90.00
_cell_angle_beta 90.00
_cell_angle_gamma 90.00
loop_
_atom_site_label
_atom_site_type_symbol
_atom_site_fract_x
_atom_site_fract_y
_atom_site_fract_z
Pm1 Pm 0.162 0.250 0.086
Hg1 Hg 0.151 0.750 0.116
Hg2 Hg 0.154 0.511 0.812
Pb1 Pb 0.000 0.000 0.500
```